This entry pairs a crystal structure of MgTe4Mo2W2Se2S2 with its simulated PXRD pattern. Radiation: Cu Kα, 1.54184 Å. Structure: a DFT-relaxed cell (PBE, the Materials Project).
Intensities are scaled so that the largest is 100.

Cell and atoms:
a b c (Å): 3.410 3.410 42.826
angles (deg): 90.10 90.10 60.01
Element x y z (fractional)
1 Mg 0.000 0.000 0.000
2 Te 0.002 0.002 0.227
3 Te 0.004 0.004 0.314
4 Te 0.669 0.669 0.663
5 Te 0.670 0.670 0.751
6 Mo 0.002 0.002 0.088
7 Mo 0.670 0.670 0.271
8 W 0.003 0.003 0.707
9 W 0.670 0.670 0.891
10 Se 0.003 0.003 0.853
11 Se 0.004 0.004 0.930
12 S 0.668 0.668 0.053
13 S 0.669 0.669 0.123

The 6 most intense peaks (2θ = 10–90°), low angle first:
| Position (°2θ) | I/Imax |
| --- | --- |
| 10.33 | 100 |
| 30.28 | 33 |
| 34.69 | 48 |
| 36.97 | 21 |
| 41.04 | 48 |
| 53.77 | 21 |